Starting from DFT lattice parameters and positions (PBE), the X-ray powder pattern of K2PrNb5O15 was simulated for λ = 1.5418 Å (Cu Kα).

Atomic structure:
Cell: 12.799 12.799 3.969 Å, 90.00 90.00 90.00°
Positions (direct):
K: 0.171 0.329 0.000
K: 0.329 0.829 0.000
K: 0.671 0.171 0.000
K: 0.829 0.671 0.000
Pr: 0.000 0.000 0.000
Pr: 0.500 0.500 0.000
Nb: 0.000 0.500 0.500
Nb: 0.076 0.787 0.500
Nb: 0.213 0.076 0.500
Nb: 0.287 0.576 0.500
Nb: 0.424 0.287 0.500
Nb: 0.500 0.000 0.500
Nb: 0.576 0.713 0.500
Nb: 0.713 0.424 0.500
Nb: 0.787 0.924 0.500
Nb: 0.924 0.213 0.500
O: 0.000 0.500 0.000
O: 0.001 0.343 0.500
O: 0.060 0.133 0.500
O: 0.079 0.809 0.000
O: 0.133 0.940 0.500
O: 0.157 0.499 0.500
O: 0.191 0.079 0.000
O: 0.216 0.716 0.500
O: 0.284 0.216 0.500
O: 0.309 0.579 0.000
O: 0.343 0.999 0.500
O: 0.367 0.440 0.500
O: 0.421 0.309 0.000
O: 0.440 0.633 0.500
O: 0.499 0.843 0.500
O: 0.500 0.000 0.000
O: 0.501 0.157 0.500
O: 0.560 0.367 0.500
O: 0.579 0.691 0.000
O: 0.633 0.560 0.500
O: 0.657 0.001 0.500
O: 0.691 0.421 0.000
O: 0.716 0.784 0.500
O: 0.784 0.284 0.500
O: 0.809 0.921 0.000
O: 0.843 0.501 0.500
O: 0.867 0.060 0.500
O: 0.921 0.191 0.000
O: 0.940 0.867 0.500
O: 0.999 0.657 0.500

Principal peaks in the range 2θ = 10–80°, low angle first:
13.8°, rel. 38, (2 0 0); 22.4°, rel. 33, (0 0 1); 25.1°, rel. 45, (3 2 0); 27.3°, rel. 37, (2 1 1); 28.8°, rel. 54, (4 1 0); 29.9°, rel. 36, (2 2 1); 31.3°, rel. 50, (4 2 0); 31.6°, rel. 100, (3 1 1); 45.7°, rel. 34, (0 0 2); 55.8°, rel. 49, (5 5 1)